Diffraction record for Cs3Pb2Br3F4. The PXRD pattern is theoretical, not measured: it uses the GGA-PBE geometry in Alexandria and Cu Kα X-rays.
Kinematic intensities with the Lorentz-polarization factor, no thermal factor.

Largest 10 diffraction maxima, sorted by position, 10 to 90 degrees two-theta:
2θ (°)	I/Imax	index
12.63	35	0 4 0
21.66	48	1 5 0
23.63	100	1 0 1
24.33	100	0 5 1
29.69	71	2 0 0
30.49	27	1 6 1
31.92	27	0 10 0
37.27	38	0 0 2
38.75	60	2 5 1
48.36	36	2 0 2

Structure:
```
data_Cs3Pb2Br3F4
_chemical_formula_sum 'Cs6 Pb4 Br6 F8'
_cell_length_a 6.018
_cell_length_b 28.041
_cell_length_c 4.825
_cell_angle_alpha 90.00
_cell_angle_beta 90.00
_cell_angle_gamma 90.00
_symmetry_space_group_name_H-M 'I m m 2'
_symmetry_Int_Tables_number 44
loop_
_symmetry_equiv_pos_as_xyz
'x,y,z'
'-x,-y,z'
'-x,y,z'
'x,-y,z'
'x+1/2,y+1/2,z+1/2'
'-x+1/2,-y+1/2,z+1/2'
'-x+1/2,y+1/2,z+1/2'
'x+1/2,-y+1/2,z+1/2'
loop_
_atom_site_label
_atom_site_type_symbol
_atom_site_fract_x
_atom_site_fract_y
_atom_site_fract_z
Cs1 Cs 0.000 0.000 0.000
Cs2 Cs 0.000 0.197 0.000
Pb1 Pb 0.000 0.380 0.003
Br1 Br 0.000 0.104 0.500
Br2 Br 0.000 0.500 0.000
F1 F 0.000 0.298 0.004
F2 F 0.000 0.366 0.504
```